Entry 1:
Computed powder X-ray diffraction pattern
Compound: ZrTe8Cl6
Radiation: Cu Kα (weighted mean of Kα1 and Kα2)
Structure: the PBE geometry in OQMD
Lines closer than 0.1° are merged.

Atomic structure:
abc: 7.170 8.994 16.898
angles: 104.23 100.16 93.79
Fractional coordinates of all 30 atoms:
Zr  0.000  0.000  0.000
Zr  0.000  0.000  0.500
Te  0.205  0.448  0.221
Te  0.228  0.663  0.670
Te  0.283  0.498  0.890
Te  0.283  0.704  0.162
Te  0.336  0.250  0.767
Te  0.349  0.574  0.392
Te  0.450  0.724  0.827
Te  0.458  0.288  0.401
Te  0.542  0.712  0.599
Te  0.550  0.276  0.173
Te  0.651  0.426  0.608
Te  0.664  0.750  0.233
Te  0.717  0.296  0.838
Te  0.717  0.502  0.110
Te  0.772  0.337  0.330
Te  0.795  0.552  0.779
Cl  0.006  0.065  0.151
Cl  0.074  0.267  0.484
Cl  0.100  0.886  0.367
Cl  0.169  0.262  0.014
Cl  0.311  0.893  0.025
Cl  0.334  0.016  0.579
Cl  0.666  0.984  0.421
Cl  0.689  0.107  0.975
Cl  0.831  0.738  0.986
Cl  0.900  0.114  0.633
Cl  0.926  0.733  0.516
Cl  0.994  0.935  0.849

Largest 10 diffraction maxima, in order of falling intensity, 2θ from 10° to 80°:
2θ (°)	I/Imax
10.22	100
25.64	83
27.69	64
16.92	59
32.12	58
17.16	45
22.87	38
26.67	33
20.59	33
27.15	33


Entry 2:
Computed powder X-ray diffraction pattern
Compound: Th3Cl2
Radiation: Cu Kα (weighted mean of Kα1 and Kα2)
Structure: the PBE geometry in OQMD
Lines closer than 0.1° are merged.

Atomic structure:
abc: 7.697 7.697 7.697
angles: 53.22 53.22 53.22
Fractional coordinates of all 10 atoms:
Th  0.097  0.750  0.403
Th  0.250  0.597  0.903
Th  0.403  0.097  0.750
Th  0.597  0.903  0.250
Th  0.750  0.403  0.097
Th  0.903  0.250  0.597
Cl  0.169  0.169  0.169
Cl  0.331  0.331  0.331
Cl  0.669  0.669  0.669
Cl  0.831  0.831  0.831

Largest 10 diffraction maxima, in order of falling intensity, 2θ from 10° to 80°:
2θ (°)	I/Imax
29.23	100
37.77	25
49.19	25
45.57	24
27.07	22
53.81	20
55.06	17
74.17	14
25.84	13
74.82	11


Entry 3:
Computed powder X-ray diffraction pattern
Compound: Tl2ZnCl4
Radiation: Cu Kα (weighted mean of Kα1 and Kα2)
Structure: the PBE geometry in OQMD
Lines closer than 0.1° are merged.

Atomic structure:
abc: 7.176 7.259 8.847
angles: 90.00 108.70 90.00
Fractional coordinates of all 14 atoms:
Tl  0.218  0.000  0.050
Tl  0.269  0.993  0.567
Tl  0.731  0.493  0.433
Tl  0.782  0.500  0.950
Zn  0.223  0.536  0.797
Zn  0.777  0.036  0.203
Cl  0.009  0.268  0.272
Cl  0.037  0.274  0.744
Cl  0.400  0.570  0.061
Cl  0.416  0.561  0.636
Cl  0.584  0.061  0.364
Cl  0.600  0.070  0.939
Cl  0.963  0.774  0.256
Cl  0.991  0.768  0.728

Largest 10 diffraction maxima, in order of falling intensity, 2θ from 10° to 80°:
2θ (°)	I/Imax
17.88	100
24.53	95
30.99	53
36.21	51
30.64	50
24.39	46
32.64	30
26.22	30
32.53	29
40.80	26


Entry 4:
Computed powder X-ray diffraction pattern
Compound: TmCl2
Radiation: Cu Kα (weighted mean of Kα1 and Kα2)
Structure: the PBE geometry in OQMD
Lines closer than 0.1° are merged.

Atomic structure:
abc: 6.773 6.773 3.408
angles: 90.00 90.00 90.00
Fractional coordinates of all 6 atoms:
Tm  0.000  0.000  0.000
Tm  0.500  0.500  0.500
Cl  0.220  0.220  0.500
Cl  0.280  0.720  0.000
Cl  0.720  0.280  0.000
Cl  0.780  0.780  0.500

Largest 10 diffraction maxima, in order of falling intensity, 2θ from 10° to 80°:
2θ (°)	I/Imax
18.53	100
39.82	65
29.34	53
37.56	30
48.36	24
42.20	22
55.89	14
26.32	14
75.53	14
62.80	13


Question: Which formula does entry 3 have?
Answer: Tl2ZnCl4


Question: Which formula does entry 4 have?
Answer: TmCl2